No. 1
Structure and computed X-ray powder pattern of Mn3CrFe2P6O24 (a crystal structure in the Materials Project, relaxed with GGA+U; copper Kα).
No peak broadening, texture or thermal motion is included.

Structural model:
```
Mn3CrFe2P6O24
1.0
4.3094 2.4881 6.8779
-4.3094 2.4881 6.8779
0.0000 -4.9761 6.8779
Mn Cr Fe P O
3 1 2 6 24
Cartesian
0.0000 0.0000 0.0000 Mn
0.0000 0.0000 4.3907 Mn
0.0000 0.0000 14.7682 Mn
0.0000 0.0000 10.3244 Cr
0.0000 0.0000 7.3570 Fe
0.0000 0.0000 17.6845 Fe
-3.0296 0.3016 9.0663 P
-1.2587 -2.1870 12.5948 P
1.2536 -2.7745 9.0663 P
-1.2646 2.1835 12.5948 P
1.7760 2.4729 9.0663 P
2.5233 0.0034 12.5948 P
-3.4802 1.0287 7.7961 O
-0.8266 -1.2550 5.9274 O
-2.8201 -2.3430 12.4177 O
-3.3880 0.9849 10.3627 O
0.8492 -3.5282 7.7961 O
-1.4648 0.1283 8.8701 O
-0.6736 1.3434 5.9274 O
-0.8179 -1.5030 11.3101 O
0.8411 -3.4265 10.3627 O
0.6213 -1.3326 8.8701 O
1.5002 -0.0884 5.9274 O
-0.8500 -1.4619 13.8699 O
-0.8927 1.4598 11.3101 O
-1.5050 -0.1039 16.0973 O
0.8435 1.2044 8.8701 O
-0.8411 1.4670 13.8699 O
1.7106 0.0432 11.3101 O
-0.6190 3.6137 12.4177 O
0.8425 -1.2514 16.0973 O
2.6309 2.4996 7.7961 O
1.6910 -0.0051 13.8699 O
3.4391 -1.2708 12.4177 O
0.6625 1.3554 16.0973 O
2.5469 2.4416 10.3627 O
```

Principal peaks in the range 2θ = 10–80°, by intensity:
2θ/deg  I (rel.)
24.37  1000
20.61  818
33.33  652
36.10  384
47.78  319
49.95  251
56.50  235
63.16  194
25.38  173
32.02  168

No. 2
Structure and computed X-ray powder pattern of MnCr2Fe3P6O24 (a crystal structure in the Materials Project, relaxed with GGA+U; copper Kα).
No peak broadening, texture or thermal motion is included.

Structural model:
```
MnCr2Fe3P6O24
1.0
4.3184 2.4932 6.7896
-4.3184 2.4932 6.7896
0.0000 -4.9864 6.7896
Mn Cr Fe P O
1 2 3 6 24
Cartesian
0.0000 0.0000 0.0000 Mn
0.0000 0.0000 7.2385 Cr
0.0000 0.0000 17.4031 Cr
0.0000 0.0000 4.2434 Fe
0.0000 0.0000 10.2201 Fe
0.0000 0.0000 14.4327 Fe
-1.2849 -2.7497 8.9216 P
-2.5818 0.0029 12.3313 P
-1.7388 2.4876 8.9216 P
1.2884 -2.2373 12.3313 P
3.0237 0.2621 8.9216 P
1.2934 2.2345 12.3313 P
-0.9399 -3.5016 7.6495 O
-3.5099 -1.2437 12.0818 O
-1.4811 -0.0639 5.7713 O
-0.7673 -3.4468 10.1710 O
-2.5625 2.5647 7.6495 O
-0.6884 -1.3059 8.7044 O
0.7959 -1.2508 5.7713 O
-1.7256 0.0970 11.0757 O
-2.6013 2.3879 10.1710 O
-0.7867 1.2492 8.7044 O
0.6853 1.3146 5.7713 O
-1.7275 -0.0965 13.5846 O
0.7788 -1.5429 11.0757 O
1.4752 0.0567 8.7044 O
-0.8045 -1.2515 15.9499 O
0.9473 -1.4478 13.5846 O
0.9468 1.4459 11.0757 O
2.8320 -2.4178 12.0818 O
-0.6816 1.3225 15.9499 O
3.5024 0.9368 7.6495 O
0.7801 1.5443 13.5846 O
0.6779 3.6615 12.0818 O
1.4861 -0.0710 15.9499 O
3.3687 1.0589 10.1709 O
```

Principal peaks in the range 2θ = 10–80°, by intensity:
2θ/deg  I (rel.)
24.43  1000
20.57  798
33.58  696
36.02  403
50.07  278
48.09  256
63.21  227
56.37  221
31.96  144
25.37  129

No. 3
Structure and computed X-ray powder pattern of Mn2CrFe3P6O24 (a crystal structure in the Materials Project, relaxed with GGA+U; copper Kα).
No peak broadening, texture or thermal motion is included.

Structural model:
```
Mn2CrFe3P6O24
1.0
4.3198 2.4940 7.0176
-4.3198 2.4940 7.0176
0.0000 -4.9880 7.0176
Mn Cr Fe P O
2 1 3 6 24
Cartesian
0.0000 0.0000 0.0000 Mn
0.0000 0.0000 10.5061 Mn
0.0000 0.0000 13.5431 Cr
0.0000 0.0000 3.0813 Fe
0.0000 0.0000 7.4742 Fe
0.0000 0.0000 17.9971 Fe
-1.7959 -2.4993 8.7757 P
-3.0409 0.2935 12.3037 P
-1.2665 2.8049 8.7757 P
1.2663 -2.7803 12.3037 P
3.0624 -0.3057 8.7757 P
1.7747 2.4868 12.3036 P
-2.6284 -2.5388 10.0478 O
-0.9008 -3.7693 8.6159 O
-3.6599 -1.1336 12.4282 O
-1.7035 -0.0248 6.5550 O
-3.4380 1.0248 11.0233 O
-0.8846 -1.2415 8.8987 O
-2.8139 2.6648 8.6159 O
0.8732 -1.4629 6.5550 O
0.8314 -3.4898 11.0233 O
-1.4795 0.1243 12.1978 O
-0.6329 1.3868 8.8987 O
-0.8117 -1.4489 14.5154 O
0.8303 1.4877 6.5550 O
0.6321 -1.3434 12.1978 O
1.5174 -0.1453 8.8987 O
-0.8845 3.5457 10.0478 O
-0.8489 1.4274 14.5154 O
2.8117 -2.6028 12.4282 O
0.8474 1.2191 12.1978 O
3.5129 -1.0068 10.0478 O
1.6606 0.0215 14.5154 O
3.7147 1.1045 8.6159 O
0.8482 3.7364 12.4282 O
2.6065 2.4649 11.0233 O
```

Principal peaks in the range 2θ = 10–80°, by intensity:
2θ/deg  I (rel.)
24.19  1000
20.57  930
32.88  763
36.01  398
49.55  293
47.18  284
56.35  254
62.77  198
31.93  159
25.27  141